For Tl17CdHg11, a crystal structure in Alexandria, relaxed with PBE gives the calculated XRD peak list in this record (Cu Kα).
No peak broadening, texture or thermal motion is included.

Largest 10 diffraction maxima, in order of rising 2θ, 2θ = 10–80°:
2theta  d [Å]  Rel. int.  h k l
31.8  2.818  10  0 6 0
31.9  2.806  66  1 5 -2
32.0  2.796  100  4 0 -3
32.1  2.785  11  0 0 3
35.3  2.543  24  2 6 -1
35.6  2.524  19  2 0 2
54.6  1.680  10  5 5 -5
56.8  1.620  11  2 8 2
57.0  1.615  22  7 1 -2
57.1  1.612  11  1 5 4

Structural model:
```
data_Tl17CdHg11
_symmetry_space_group_name_H-M 'C 1 m 1'
_symmetry_Int_Tables_number 8
_cell_length_a 11.8686
_cell_length_b 16.9095
_cell_length_c 10.2387
_cell_angle_alpha 90.00
_cell_angle_beta 125.31
_cell_angle_gamma 90.00
loop_
_symmetry_equiv_pos_as_xyz
'x,y,z'
'x,-y,z'
'x+1/2,y+1/2,z'
'x+1/2,-y+1/2,z'
loop_
_atom_site_label
_atom_site_fract_x
_atom_site_fract_y
_atom_site_fract_z
Tl1 0.0000 0.0000 0.0000
Tl2 0.0013 0.0000 0.3602
Tl3 0.0192 0.3033 0.6813
Tl4 0.0385 0.3576 0.3613
Tl5 0.1117 0.5000 0.6498
Tl6 0.1962 0.1947 0.0392
Tl7 0.3204 0.0000 0.0673
Tl8 0.3215 0.3208 0.3595
Tl9 0.3400 0.3389 0.7538
Tl10 0.3618 0.0000 0.7196
Tl11 0.4460 0.1603 0.9672
Cd1 0.3193 0.5000 0.5488
Hg1 0.0895 0.0938 0.7213
Hg2 0.1388 0.5000 0.1935
Hg3 0.1865 0.1831 0.5464
Hg4 0.2237 0.4073 0.9945
Hg5 0.2792 0.0892 0.3592
Hg6 0.4943 0.3171 0.1716
```